# CrFe2Co
Computed X-ray powder pattern, Cu Kα (λ = 1.5418 Å). Input: a crystal structure in Alexandria, relaxed with PBE.

Crystal structure
```
CrFe2Co
1.0
1.249 0.721 8.212
-1.249 0.721 8.212
0.000 -1.442 8.212
Cr Fe Co
1 2 1
Cartesian
0.000 0.000 0.000
0.000 0.000 6.162
0.000 0.000 18.474
0.000 0.000 12.318
```

Main lines, by angle (2θ from 10° to 90°):
2theta  I/Imax
10.77  1
44.11  34
44.38  100
51.63  62
75.83  18
76.21  17

=====

# CrFeCo2H
Computed X-ray powder pattern, Cu Kα (λ = 1.5418 Å). Input: a crystal structure in Alexandria, relaxed with PBE.

Crystal structure
```
CrFeCo2H
1.0
3.503 0.000 0.000
0.000 3.503 0.000
0.000 0.000 3.602
Cr Fe Co H
1 1 2 1
Cartesian
0.000 0.000 0.000
1.752 1.752 0.000
0.000 1.752 1.801
1.752 0.000 1.801
1.752 1.752 1.801
```

Main lines, by angle (2θ from 10° to 90°):
2theta  I/Imax
44.38  100
50.69  17
52.22  30
75.75  18
76.99  9

=====

# Mn4CrGa5Co10
Computed X-ray powder pattern, Cu Kα (λ = 1.5418 Å). Input: a crystal structure in Alexandria, relaxed with PBE.

Crystal structure
```
Mn4CrGa5Co10
1.0
2.021 1.167 16.495
-2.021 1.167 16.495
0.000 -2.334 16.495
Mn Cr Ga Co
4 1 5 10
Cartesian
0.000 0.000 4.943
0.000 0.000 14.847
0.000 0.000 34.639
0.000 0.000 44.543
0.000 0.000 24.743
0.000 0.000 0.000
0.000 0.000 9.908
0.000 0.000 19.791
0.000 0.000 29.695
0.000 0.000 39.579
0.000 0.000 2.478
0.000 0.000 7.441
0.000 0.000 12.377
0.000 0.000 17.315
0.000 0.000 22.295
0.000 0.000 27.191
0.000 0.000 32.172
0.000 0.000 37.109
0.000 0.000 42.045
0.000 0.000 47.008
```

Main lines, by angle (2θ from 10° to 90°):
2theta  I/Imax
27.02  1
44.85  100
53.14  1
65.29  15
82.70  29

=====

# CrCoGePdS
Computed X-ray powder pattern, Cu Kα (λ = 1.5418 Å). Input: a crystal structure in Alexandria, relaxed with PBE.

Crystal structure
```
CrCoGePdS
1.0
4.411 -1.432 0.000
4.411 1.432 0.000
-0.432 0.000 5.535
Cr Co Ge Pd S
1 1 1 1 1
Cartesian
0.000 0.000 0.000
5.180 0.000 1.890
2.559 0.000 1.089
2.202 0.000 3.867
4.536 0.000 3.946
```

Main lines, by angle (2θ from 10° to 90°):
2theta  I/Imax
32.90  64
37.15  42
39.81  58
41.05  45
44.21  100
46.21  99

=====

# CrCoGePdS
Computed X-ray powder pattern, Cu Kα (λ = 1.5418 Å). Input: a crystal structure in Alexandria, relaxed with PBE.

Crystal structure
```
CrCoGePdS
1.0
3.274 0.000 0.000
0.000 3.636 0.000
0.000 0.000 6.100
Cr Co Ge Pd S
1 1 1 1 1
Cartesian
0.000 0.000 0.000
0.000 1.818 4.106
0.000 0.000 2.708
1.637 1.818 1.812
1.637 1.818 5.485
```

Main lines, by angle (2θ from 10° to 90°):
2theta  I/Imax
14.52  54
36.95  95
38.53  100
39.90  97
40.42  56
47.83  83

=====

# CrCoGePdS
Computed X-ray powder pattern, Cu Kα (λ = 1.5418 Å). Input: a crystal structure in Alexandria, relaxed with PBE.

Crystal structure
```
CrCoGePdS
1.0
3.296 0.000 0.000
0.000 3.100 0.000
-1.642 0.000 6.895
Cr Co Ge Pd S
1 1 1 1 1
Cartesian
0.000 0.000 0.000
1.645 1.550 1.553
0.004 0.000 2.656
1.680 1.550 4.172
0.009 1.550 6.212
```

Main lines, by angle (2θ from 10° to 90°):
2theta  I/Imax
12.84  21
39.08  35
40.48  100
42.75  66
49.36  34
76.14  22

=====

# CrCoGePdS
Computed X-ray powder pattern, Cu Kα (λ = 1.5418 Å). Input: a crystal structure in Alexandria, relaxed with PBE.

Crystal structure
```
CrCoGePdS
1.0
3.816 -1.534 0.000
3.816 1.534 0.000
-0.051 0.000 6.104
Cr Co Ge Pd S
1 1 1 1 1
Cartesian
0.000 0.000 0.000
2.186 0.000 1.606
0.009 0.000 2.750
2.285 0.000 4.184
5.440 0.000 0.107
```

Main lines, by angle (2θ from 10° to 90°):
2theta  I/Imax
31.43  80
37.59  68
37.90  63
43.41  71
43.55  86
46.37  100

=====

# CrCo2H3
Computed X-ray powder pattern, Cu Kα (λ = 1.5418 Å). Input: a crystal structure in Alexandria, relaxed with PBE.

Crystal structure
```
CrCo2H3
1.0
5.252 0.000 0.000
0.000 3.687 0.000
0.000 0.000 7.909
Cr Co H
4 8 12
Cartesian
0.577 0.922 0.565
2.049 2.765 4.519
3.203 0.922 3.390
4.675 2.765 7.345
0.654 0.922 3.267
0.671 0.922 5.969
1.955 2.765 2.014
1.972 2.765 7.222
3.280 0.922 0.687
3.297 0.922 5.895
4.581 2.765 1.940
4.598 2.765 4.642
0.578 2.765 3.280
0.667 2.765 5.890
0.744 2.765 0.704
1.882 0.922 4.658
1.959 0.922 1.935
2.048 0.922 7.234
3.204 2.765 0.675
3.293 2.765 5.974
3.370 2.765 3.251
4.508 0.922 7.205
4.585 0.922 2.019
4.674 0.922 4.629
```

Main lines, by angle (2θ from 10° to 90°):
2theta  I/Imax
42.14  100
42.25  100
48.96  67
49.44  33
72.13  37
87.63  21

=====

# CrCo3H3
Computed X-ray powder pattern, Cu Kα (λ = 1.5418 Å). Input: a crystal structure in Alexandria, relaxed with PBE.

Crystal structure
```
CrCo3H3
1.0
3.746 -3.636 0.000
3.746 3.636 0.000
0.000 0.000 3.600
Cr Co H
2 6 6
Cartesian
3.746 2.855 2.700
3.746 -2.855 0.900
1.868 0.909 2.700
3.746 0.974 0.900
1.868 -0.909 0.900
5.625 0.909 2.700
3.746 -0.974 2.700
5.625 -0.909 0.900
1.918 0.922 0.900
3.746 0.906 2.700
1.918 -0.922 2.700
5.574 0.922 0.900
3.746 -0.906 0.900
5.574 -0.922 2.700
```

Main lines, by angle (2θ from 10° to 90°):
2theta  I/Imax
42.80  100
48.61  18
50.19  15
50.71  16
86.78  11
90.00  10

=====

# CrCo2H
Computed X-ray powder pattern, Cu Kα (λ = 1.5418 Å). Input: a crystal structure in Alexandria, relaxed with PBE.

Crystal structure
```
CrCo2H
1.0
1.266 0.731 6.230
-1.266 0.731 6.230
0.000 -1.462 6.230
Cr Co H
1 2 1
Cartesian
0.000 0.000 0.000
0.000 0.000 4.224
0.000 0.000 14.465
0.000 0.000 9.345
```

Main lines, by angle (2θ from 10° to 90°):
2theta  I/Imax
41.45  28
42.33  21
43.58  47
45.69  100
48.10  65
75.00  26

=====

# NpCrCo2H8
Computed X-ray powder pattern, Cu Kα (λ = 1.5418 Å). Input: a crystal structure in Alexandria, relaxed with PBE.

Crystal structure
```
NpCrCo2H8
1.0
2.233 1.289 5.270
-2.233 1.289 5.270
0.000 -2.579 5.270
Np Cr Co H
1 1 2 8
Cartesian
0.000 0.000 0.000
0.000 0.000 7.905
0.000 0.000 3.212
0.000 0.000 12.598
-1.598 0.197 7.129
-0.970 -1.285 8.681
0.000 0.000 4.843
0.628 -1.482 7.129
-0.628 1.482 8.681
0.000 0.000 10.967
0.970 1.285 7.129
1.598 -0.197 8.681
```

Main lines, by angle (2θ from 10° to 90°):
2theta  I/Imax
23.68  89
25.64  52
32.38  100
36.71  57
40.39  83
53.81  42

=====

What did the eighth record say?
# CrCo2H3
Computed X-ray powder pattern, Cu Kα (λ = 1.5418 Å). Input: a crystal structure in Alexandria, relaxed with PBE.

Crystal structure
```
CrCo2H3
1.0
5.252 0.000 0.000
0.000 3.687 0.000
0.000 0.000 7.909
Cr Co H
4 8 12
Cartesian
0.577 0.922 0.565
2.049 2.765 4.519
3.203 0.922 3.390
4.675 2.765 7.345
0.654 0.922 3.267
0.671 0.922 5.969
1.955 2.765 2.014
1.972 2.765 7.222
3.280 0.922 0.687
3.297 0.922 5.895
4.581 2.765 1.940
4.598 2.765 4.642
0.578 2.765 3.280
0.667 2.765 5.890
0.744 2.765 0.704
1.882 0.922 4.658
1.959 0.922 1.935
2.048 0.922 7.234
3.204 2.765 0.675
3.293 2.765 5.974
3.370 2.765 3.251
4.508 0.922 7.205
4.585 0.922 2.019
4.674 0.922 4.629
```

Main lines, by angle (2θ from 10° to 90°):
2theta  I/Imax
42.14  100
42.25  100
48.96  67
49.44  33
72.13  37
87.63  21